Calculated powder diffraction line list of K3Er for CuKα, from a crystal structure in the Materials Project, relaxed with GGA-PBE.
No peak broadening, texture or thermal motion is included.

Principal peaks in the range 2θ = 15–90°, most intense first:
- 25.93°, I 100
- 45.73°, I 40
- 15.79°, I 37
- 30.51°, I 24
- 18.26°, I 20
- 72.82°, I 19
- 37.00°, I 19
- 60.22°, I 17
- 53.32°, I 13
- 40.46°, I 11

Cell and atoms:
Lattice parameters (Å, degrees): 9.719 9.719 9.719 90.00 90.00 90.00
Space group Fm-3m (No. 225)
Symmetry-distinct sites (fractional):
K1 0.000 0.000 0.000
K2 0.250 0.250 0.250
Er1 0.000 0.000 0.500


Calculated powder diffraction line list of Zr6FeS2 for CuKα, from a crystal structure in the Materials Project, relaxed with GGA-PBE.
No peak broadening, texture or thermal motion is included.

Principal peaks in the range 2θ = 15–90°, most intense first:
- 37.79°, I 100
- 37.51°, I 75
- 35.58°, I 57
- 33.53°, I 56
- 38.81°, I 55
- 35.40°, I 53
- 35.76°, I 41
- 53.20°, I 39
- 37.15°, I 34
- 40.29°, I 31

Cell and atoms:
Lattice parameters (Å, degrees): 12.720 15.700 3.444 90.00 90.00 90.00
Space group Pnnm (No. 58)
Symmetry-distinct sites (fractional):
Zr1 0.026 0.105 0.000
Zr2 0.084 0.750 0.500
Zr3 0.088 0.580 0.000
Zr4 0.121 0.414 0.500
Zr5 0.169 0.984 0.500
Zr6 0.198 0.205 0.500
Fe1 0.241 0.589 0.500
S1 0.067 0.290 0.000
S2 0.186 0.847 0.000


Calculated powder diffraction line list of LiNbTe3O12 for CuKα, from a crystal structure in the Materials Project, relaxed with GGA-PBE.
No peak broadening, texture or thermal motion is included.

Principal peaks in the range 2θ = 15–90°, most intense first:
- 20.58°, I 100
- 19.74°, I 47
- 32.18°, I 32
- 32.52°, I 31
- 35.85°, I 23
- 61.93°, I 15
- 51.40°, I 14
- 51.86°, I 13
- 40.26°, I 13
- 39.69°, I 13

Cell and atoms:
Lattice parameters (Å, degrees): 5.004 8.534 5.292 90.00 91.02 90.00
Space group P2 (No. 3)
Symmetry-distinct sites (fractional):
Li1 0.000 0.000 0.000
Nb1 0.500 0.097 0.500
Te1 0.000 0.594 0.000
Te2 0.000 0.776 0.500
Te3 0.500 0.286 0.000
O1 0.202 0.767 0.823
O2 0.210 0.615 0.317
O3 0.233 0.939 0.378
O4 0.251 0.446 0.862
O5 0.285 0.123 0.823
O6 0.302 0.266 0.304


Calculated powder diffraction line list of HoPd3S4 for CuKα, from a crystal structure in the Materials Project, relaxed with GGA-PBE.
No peak broadening, texture or thermal motion is included.

Principal peaks in the range 2θ = 15–90°, most intense first:
- 32.72°, I 100
- 29.80°, I 82
- 50.97°, I 57
- 54.77°, I 29
- 48.99°, I 20
- 81.16°, I 18
- 63.60°, I 18
- 78.08°, I 16
- 76.52°, I 16
- 37.96°, I 15

Cell and atoms:
Lattice parameters (Å, degrees): 6.704 6.704 6.704 90.00 90.00 90.00
Space group Pm-3n (No. 223)
Symmetry-distinct sites (fractional):
Ho1 0.000 0.000 0.000
Pd1 0.000 0.250 0.500
S1 0.250 0.250 0.250


Calculated powder diffraction line list of YSn3 for CuKα, from a crystal structure in the Materials Project, relaxed with GGA-PBE.
No peak broadening, texture or thermal motion is included.

Principal peaks in the range 2θ = 15–90°, most intense first:
- 32.95°, I 100
- 69.05°, I 37
- 40.60°, I 28
- 53.31°, I 26
- 33.06°, I 25
- 58.97°, I 19
- 88.05°, I 14
- 58.76°, I 10
- 83.58°, I 8
- 87.86°, I 3

Cell and atoms:
Lattice parameters (Å, degrees): 4.445 4.445 10.839 90.00 90.00 90.00
Space group I4/mmm (No. 139)
Symmetry-distinct sites (fractional):
Y1 0.000 0.000 0.000
Sn1 0.000 0.000 0.500
Sn2 0.000 0.500 0.250